# 1
# Ti6As3C
Simulated powder diffraction line list, copper Kα. Input: a GGA-PBE-relaxed structure.
Lines closer than 0.1° are merged.

Cell and atoms:
Unit cell a=10.294 b=5.611 c=6.695 alpha=90.00 beta=122.33 gamma=90.00
Space group C2/m (No. 12)
One atom of each set of equivalent atoms:
Ti 0.082 0.242 0.355
Ti 0.217 0.000 0.822
As 0.000 0.500 0.000
As 0.228 0.500 0.747
C 0.000 0.000 0.500

Peak list (8 most intense, 2θ = 10–90°, in order of rising 2θ)
h k l	Position (°2θ)	Rel. int.
1 1 1	27.9	40.1
3 1 -1	30.5	40.6
0 2 0	31.9	36.3
4 0 -1	35.4	76.7
0 2 1	35.7	40.6
2 2 0	38.2	41.3
2 2 -2	42.2	100.0
2 0 2	46.7	37.9

=====

# 2
# TaNb3Tc2
Simulated powder diffraction line list, copper Kα. Input: a GGA-PBE-relaxed structure.
Lines closer than 0.1° are merged.

Cell and atoms:
Unit cell a=3.217 b=3.217 c=9.813 alpha=90.00 beta=90.00 gamma=90.00
Space group P4/mmm (No. 123)
One atom of each set of equivalent atoms:
Ta 0.000 0.000 0.000
Nb 0.500 0.500 0.176
Nb 0.500 0.500 0.500
Tc 0.000 0.000 0.338

Peak list (8 most intense, 2θ = 10–90°, in order of rising 2θ)
h k l	Position (°2θ)	Rel. int.
1 0 3	39.3	100.0
1 1 0	39.6	49.4
0 0 6	56.2	8.4
2 0 0	57.3	16.5
1 1 6	71.0	16.4
2 1 3	71.7	33.0
2 0 6	84.5	11.2
2 2 0	85.3	5.3

=====

# 3
# Li3Al2
Simulated powder diffraction line list, copper Kα. Input: a GGA-PBE-relaxed structure.
Lines closer than 0.1° are merged.

Cell and atoms:
Unit cell a=4.4612 b=4.4612 c=5.5741 alpha=90.00 beta=90.00 gamma=120.00
Space group P-3m1 (No. 164)
One atom of each set of equivalent atoms:
Li 0.0000 0.0000 0.0000
Li 0.3333 0.6667 0.3724
Al 0.3333 0.6667 0.8907

Peak list (8 most intense, 2θ = 10–90°, in order of rising 2θ)
h k l	Position (°2θ)	Rel. int.
0 0 1	15.9	100.0
1 0 0	23.0	54.3
0 1 1	28.1	60.3
1 0 2	39.9	96.8
1 1 0	40.4	74.7
1 1 1	43.7	38.9
0 2 2	58.1	31.6
1 2 2	73.2	31.4

=====

# 4
# Pr4GeTe3
Simulated powder diffraction line list, copper Kα. Input: a GGA-PBE-relaxed structure.
Lines closer than 0.1° are merged.

Cell and atoms:
Unit cell a=9.075 b=12.733 c=4.461 alpha=90.00 beta=90.00 gamma=90.00
Space group Cmmm (No. 65)
One atom of each set of equivalent atoms:
Pr 0.000 0.236 0.000
Pr 0.228 0.000 0.500
Ge 0.000 0.000 0.000
Te 0.000 0.500 0.000
Te 0.250 0.250 0.500

Peak list (8 most intense, 2θ = 10–90°, in order of rising 2θ)
h k l	Position (°2θ)	Rel. int.
2 0 1	28.0	100.0
4 0 0	39.7	12.3
2 4 1	40.1	49.5
0 0 2	40.4	12.7
4 4 0	49.3	12.7
0 4 2	49.9	13.4
4 0 2	58.0	11.9
4 4 2	65.6	21.0

=====

# 5
# La2DyZrP4
Simulated powder diffraction line list, copper Kα. Input: a GGA-PBE-relaxed structure.
Lines closer than 0.1° are merged.

Cell and atoms:
Unit cell a=7.008 b=4.042 c=7.066 alpha=90.00 beta=109.15 gamma=90.00
Space group P2/m (No. 10)
One atom of each set of equivalent atoms:
La 0.000 0.000 0.000
La 0.500 0.500 0.000
Dy 0.000 0.500 0.500
Zr 0.500 0.000 0.500
P 0.252 0.000 0.729
P 0.267 0.500 0.276

Peak list (8 most intense, 2θ = 10–90°, in order of rising 2θ)
h k l	Position (°2θ)	Rel. int.
0 0 2	26.7	19.3
2 0 0	27.0	55.3
1 1 1	31.2	100.0
2 0 2	44.5	35.9
0 2 0	44.8	36.0
3 1 -3	53.1	15.1
2 2 -2	55.6	12.5
1 3 1	74.1	15.8